This entry pairs a crystal structure of Li4Ni2OF7 with its simulated powder diffractogram. Radiation: λ = 1.5418 Å (Cu Kα). Structure: a structure optimized by DFT (GGA+U).

Peak list (10 most intense, 5° ≤ 2θ ≤ 70°, most intense first)
2θ 18.41, I = 100; 2θ 18.27, I = 98; 2θ 35.24, I = 90; 2θ 43.13, I = 81; 2θ 20.85, I = 51; 2θ 42.44, I = 42; 2θ 61.94, I = 39; 2θ 30.42, I = 27; 2θ 62.30, I = 24; 2θ 29.84, I = 19

Atomic structure:
```
Li4Ni2OF7
1.0
5.156 -2.994 0.000
5.156 2.994 0.000
-3.312 0.000 4.856
Li Ni O F
4 2 1 7
Direct
0.000 0.000 0.000
0.021 0.021 0.525
0.408 0.408 0.676
0.632 0.632 0.395
0.024 0.512 0.036
0.512 0.024 0.036
0.288 0.288 0.269
0.238 0.774 0.258
0.263 0.263 0.782
0.266 0.800 0.794
0.767 0.767 0.800
0.773 0.773 0.271
0.774 0.238 0.258
0.800 0.266 0.794
```


This entry pairs a crystal structure of Li3NiO2F with its simulated powder diffractogram. Radiation: λ = 1.5418 Å (Cu Kα). Structure: a structure optimized by DFT (GGA+U).

Peak list (10 most intense, 5° ≤ 2θ ≤ 70°, most intense first)
2θ 26.36, I = 100; 2θ 26.76, I = 96; 2θ 13.90, I = 92; 2θ 28.38, I = 63; 2θ 50.46, I = 53; 2θ 37.79, I = 51; 2θ 42.18, I = 44; 2θ 54.44, I = 34; 2θ 39.22, I = 34; 2θ 21.35, I = 34

Atomic structure:
```
Li3NiO2F
1.0
8.569 0.000 0.000
0.000 9.522 0.000
0.000 0.000 3.616
Li Ni O F
12 4 8 4
Direct
0.099 0.162 0.000
0.145 0.922 0.500
0.157 0.329 0.500
0.343 0.829 0.000
0.355 0.422 0.000
0.401 0.662 0.500
0.599 0.338 0.500
0.645 0.578 0.000
0.657 0.171 0.000
0.843 0.671 0.500
0.855 0.078 0.500
0.901 0.838 0.000
0.119 0.602 0.000
0.381 0.102 0.500
0.619 0.898 0.500
0.881 0.398 0.000
0.102 0.388 0.000
0.163 0.122 0.500
0.337 0.622 0.000
0.398 0.888 0.500
0.602 0.112 0.500
0.663 0.378 0.000
0.837 0.878 0.500
0.898 0.612 0.000
0.119 0.847 0.000
0.381 0.347 0.500
0.619 0.653 0.500
0.881 0.153 0.000
```


This entry pairs a crystal structure of Li8NiO4F2 with its simulated powder diffractogram. Radiation: λ = 1.5418 Å (Cu Kα). Structure: a structure optimized by DFT (GGA+U).

Peak list (10 most intense, 5° ≤ 2θ ≤ 70°, most intense first)
2θ 19.43, I = 100; 2θ 21.91, I = 88; 2θ 37.02, I = 61; 2θ 19.73, I = 58; 2θ 36.82, I = 57; 2θ 17.19, I = 54; 2θ 37.46, I = 54; 2θ 58.01, I = 44; 2θ 48.12, I = 40; 2θ 22.01, I = 33

Atomic structure:
```
Li8NiO4F2
1.0
5.469 0.000 0.000
0.043 6.070 0.000
0.293 2.085 16.229
Li Ni O F
32 4 16 8
Direct
0.049 0.146 0.178
0.049 0.147 0.678
0.145 0.766 0.185
0.145 0.766 0.685
0.173 0.430 0.359
0.173 0.430 0.859
0.180 0.099 0.032
0.181 0.099 0.532
0.319 0.401 0.218
0.320 0.401 0.718
0.326 0.070 0.391
0.327 0.070 0.891
0.355 0.734 0.065
0.356 0.734 0.565
0.451 0.353 0.072
0.451 0.354 0.572
0.549 0.646 0.428
0.549 0.647 0.928
0.644 0.266 0.435
0.645 0.266 0.935
0.673 0.930 0.109
0.674 0.930 0.609
0.680 0.599 0.282
0.681 0.599 0.782
0.819 0.901 0.468
0.820 0.901 0.968
0.827 0.570 0.141
0.827 0.570 0.641
0.855 0.234 0.315
0.855 0.234 0.815
0.951 0.853 0.322
0.951 0.854 0.822
0.000 0.500 0.000
0.000 0.500 0.500
0.500 0.000 0.250
0.500 0.000 0.750
0.157 0.498 0.119
0.157 0.498 0.619
0.182 0.158 0.289
0.183 0.158 0.789
0.317 0.342 0.461
0.317 0.342 0.961
0.343 0.002 0.131
0.344 0.002 0.631
0.656 0.998 0.369
0.657 0.998 0.869
0.683 0.658 0.039
0.683 0.658 0.539
0.817 0.842 0.211
0.818 0.842 0.711
0.843 0.502 0.381
0.843 0.502 0.881
0.168 0.845 0.966
0.169 0.845 0.466
0.332 0.656 0.284
0.333 0.657 0.784
0.667 0.343 0.216
0.668 0.344 0.716
0.831 0.155 0.534
0.832 0.155 0.034
```


This entry pairs a crystal structure of Li3Ni5OF11 with its simulated powder diffractogram. Radiation: λ = 1.5418 Å (Cu Kα). Structure: a structure optimized by DFT (GGA+U).

Peak list (10 most intense, 5° ≤ 2θ ≤ 70°, most intense first)
2θ 23.61, I = 100; 2θ 32.74, I = 62; 2θ 24.06, I = 48; 2θ 52.80, I = 36; 2θ 35.15, I = 35; 2θ 62.64, I = 33; 2θ 32.42, I = 30; 2θ 48.31, I = 27; 2θ 40.00, I = 26; 2θ 34.81, I = 22

Atomic structure:
```
Li3Ni5OF11
1.0
5.104 0.000 0.000
2.488 4.897 0.000
0.088 2.754 8.468
Li Ni O F
3 5 1 11
Direct
0.000 0.000 0.000
0.225 0.527 0.733
0.758 0.490 0.242
0.062 0.863 0.351
0.303 0.388 0.093
0.541 0.955 0.504
0.559 0.891 0.853
0.838 0.380 0.597
0.960 0.679 0.543
0.004 0.664 0.898
0.017 0.665 0.201
0.084 0.158 0.152
0.089 0.158 0.457
0.117 0.158 0.802
0.482 0.660 0.048
0.511 0.660 0.396
0.515 0.673 0.711
0.571 0.163 0.962
0.587 0.168 0.649
0.603 0.177 0.294
```